# 1
Nd3Sm7Tm: calculated X-ray powder pattern (Cu Kα X-rays), based on a crystal structure in Alexandria, relaxed with GGA-PBE.
No peak broadening, texture or thermal motion is included.

Structural model:
abc: 8.557 8.557 8.557
angles: 139.32 97.00 96.87
Element x y z (fractional)
Nd: 0.000 0.000 0.000
Nd: 0.211 0.500 0.711
Nd: 0.789 0.500 0.289
Sm: 0.007 0.802 0.205
Sm: 0.209 0.709 0.500
Sm: 0.403 0.198 0.205
Sm: 0.500 0.500 0.000
Sm: 0.597 0.802 0.795
Sm: 0.791 0.291 0.500
Sm: 0.993 0.198 0.795
Tm: 0.500 0.000 0.500

Principal peaks in the range 2θ from 10° to 90°, by angle:
- 24.81 deg, intensity 19
- 30.05 deg, intensity 41
- 31.54 deg, intensity 33
- 32.18 deg, intensity 100
- 44.12 deg, intensity 26
- 54.72 deg, intensity 22

---

# 2
PmZnSb2: calculated X-ray powder pattern (Cu Kα X-rays), based on a crystal structure in Alexandria, relaxed with GGA-PBE.
No peak broadening, texture or thermal motion is included.

Structural model:
abc: 4.486 4.486 10.126
angles: 90.00 90.00 90.00
Element x y z (fractional)
Pm: 0.250 0.250 0.235
Pm: 0.750 0.750 0.765
Zn: 0.250 0.750 0.500
Zn: 0.750 0.250 0.500
Sb: 0.250 0.250 0.667
Sb: 0.250 0.750 0.000
Sb: 0.750 0.250 0.000
Sb: 0.750 0.750 0.333

Principal peaks in the range 2θ from 10° to 90°, by angle:
- 26.55 deg, intensity 20
- 33.22 deg, intensity 12
- 33.33 deg, intensity 100
- 40.21 deg, intensity 40
- 58.17 deg, intensity 13
- 68.72 deg, intensity 25

---

# 3
Pr4Dy3Ho4: calculated X-ray powder pattern (Cu Kα X-rays), based on a crystal structure in Alexandria, relaxed with GGA-PBE.
No peak broadening, texture or thermal motion is included.

Structural model:
abc: 10.725 6.677 6.677
angles: 50.60 90.00 90.00
Element x y z (fractional)
Pr: 0.000 0.000 0.000
Pr: 0.208 0.795 0.795
Pr: 0.500 0.920 0.920
Pr: 0.792 0.795 0.795
Dy: 0.000 0.294 0.294
Dy: 0.287 0.451 0.451
Dy: 0.713 0.451 0.451
Ho: 0.000 0.592 0.592
Ho: 0.304 0.144 0.144
Ho: 0.500 0.647 0.647
Ho: 0.696 0.144 0.144

Principal peaks in the range 2θ from 10° to 90°, by angle:
- 30.42 deg, intensity 32
- 30.77 deg, intensity 17
- 31.35 deg, intensity 38
- 31.92 deg, intensity 100
- 33.42 deg, intensity 15
- 56.17 deg, intensity 20